Calculated PXRD pattern of ZnCr2Os for Cu Kα (λ = 1.5418 Å), from a crystal structure in Alexandria, relaxed with GGA-PBE.

Most intense lines, 2θ = 10–80°, by intensity:
2θ 43.3, I 100
2θ 23.4, I 24
2θ 42.4, I 22
2θ 32.4, I 14
2θ 78.2, I 13
2θ 62.3, I 12
2θ 38.6, I 12
2θ 21.3, I 12

Atomic structure:
a = 2.930 Å, b = 4.261 Å, c = 8.351 Å
α = 90.00°, β = 90.00°, γ = 90.00°
Atoms (fractional coordinates):
Zn 0.000 0.000 0.000
Zn 0.500 0.500 0.500
Cr 0.000 0.000 0.483
Cr 0.000 0.500 0.760
Cr 0.500 0.000 0.260
Cr 0.500 0.500 0.983
Os 0.000 0.500 0.231
Os 0.500 0.000 0.731

Calculated PXRD pattern of Cr5P3 for Cu Kα (λ = 1.5418 Å), from a crystal structure in Alexandria, relaxed with GGA-PBE.

Most intense lines, 2θ = 10–80°, by intensity:
2θ 45.7, I 100
2θ 47.4, I 83
2θ 47.0, I 49
2θ 41.2, I 42
2θ 41.6, I 29
2θ 74.7, I 20
2θ 68.9, I 20
2θ 30.8, I 18

Atomic structure:
a = 6.701 Å, b = 6.701 Å, c = 4.678 Å
α = 90.00°, β = 90.00°, γ = 120.00°
Atoms (fractional coordinates):
Cr 0.000 0.245 0.250
Cr 0.000 0.755 0.750
Cr 0.245 0.000 0.250
Cr 0.245 0.245 0.750
Cr 0.333 0.667 0.000
Cr 0.333 0.667 0.500
Cr 0.667 0.333 0.000
Cr 0.667 0.333 0.500
Cr 0.755 0.000 0.750
Cr 0.755 0.755 0.250
P 0.000 0.386 0.750
P 0.000 0.614 0.250
P 0.386 0.000 0.750
P 0.386 0.386 0.250
P 0.614 0.000 0.250
P 0.614 0.614 0.750

Calculated PXRD pattern of Cr12P7 for Cu Kα (λ = 1.5418 Å), from a crystal structure in Alexandria, relaxed with GGA-PBE.

Most intense lines, 2θ = 10–80°, by intensity:
2θ 41.6, I 100
2θ 44.9, I 19
2θ 53.6, I 15
2θ 49.4, I 13
2θ 39.9, I 13
2θ 57.9, I 12
2θ 50.8, I 10
2θ 73.7, I 6

Atomic structure:
a = 9.048 Å, b = 9.048 Å, c = 3.187 Å
α = 90.00°, β = 90.00°, γ = 120.00°
Atoms (fractional coordinates):
Cr 0.015 0.264 0.000
Cr 0.131 0.623 0.000
Cr 0.219 0.204 0.500
Cr 0.249 0.985 0.000
Cr 0.377 0.508 0.000
Cr 0.492 0.869 0.000
Cr 0.506 0.142 0.500
Cr 0.636 0.494 0.500
Cr 0.736 0.751 0.000
Cr 0.796 0.016 0.500
Cr 0.858 0.364 0.500
Cr 0.984 0.781 0.500
P 0.000 0.000 0.000
P 0.170 0.457 0.500
P 0.288 0.830 0.500
P 0.449 0.292 0.000
P 0.543 0.712 0.500
P 0.708 0.157 0.000
P 0.843 0.551 0.000

Calculated PXRD pattern of Cr3P for Cu Kα (λ = 1.5418 Å), from a crystal structure in Alexandria, relaxed with GGA-PBE.

Most intense lines, 2θ = 10–80°, by intensity:
2θ 41.0, I 100
2θ 45.8, I 78
2θ 42.6, I 57
2θ 44.6, I 32
2θ 51.6, I 29
2θ 42.2, I 26
2θ 51.2, I 26
2θ 49.5, I 22

Atomic structure:
a = 6.810 Å, b = 6.810 Å, c = 6.810 Å
α = 96.24°, β = 96.24°, γ = 141.49°
Atoms (fractional coordinates):
Cr 0.028 0.641 0.671
Cr 0.064 0.008 0.612
Cr 0.135 0.312 0.974
Cr 0.338 0.161 0.026
Cr 0.359 0.031 0.388
Cr 0.396 0.452 0.388
Cr 0.548 0.936 0.944
Cr 0.643 0.972 0.612
Cr 0.688 0.662 0.823
Cr 0.839 0.865 0.177
Cr 0.969 0.357 0.329
Cr 0.992 0.604 0.056
P 0.206 0.452 0.665
P 0.458 0.794 0.245
P 0.548 0.213 0.755
P 0.787 0.542 0.335

Calculated PXRD pattern of Cr5P for Cu Kα (λ = 1.5418 Å), from a crystal structure in Alexandria, relaxed with GGA-PBE.

Most intense lines, 2θ = 10–80°, by intensity:
2θ 45.0, I 100
2θ 45.7, I 24
2θ 46.4, I 23
2θ 67.1, I 13
2θ 64.0, I 8
2θ 14.9, I 2
2θ 27.2, I 2
2θ 39.3, I 1

Atomic structure:
a = 2.910 Å, b = 11.910 Å, c = 3.917 Å
α = 90.00°, β = 90.00°, γ = 90.00°
Atoms (fractional coordinates):
Cr 0.000 0.000 0.000
Cr 0.000 0.167 0.500
Cr 0.000 0.336 0.000
Cr 0.000 0.664 0.000
Cr 0.000 0.833 0.500
Cr 0.500 0.164 0.000
Cr 0.500 0.333 0.500
Cr 0.500 0.500 0.000
Cr 0.500 0.667 0.500
Cr 0.500 0.836 0.000
P 0.000 0.500 0.500
P 0.500 0.000 0.500

Calculated PXRD pattern of Cr3P2 for Cu Kα (λ = 1.5418 Å), from a crystal structure in Alexandria, relaxed with GGA-PBE.

Most intense lines, 2θ = 10–80°, by intensity:
2θ 42.6, I 100
2θ 43.9, I 60
2θ 42.1, I 56
2θ 45.2, I 43
2θ 42.5, I 42
2θ 38.0, I 41
2θ 45.8, I 38
2θ 53.3, I 36

Atomic structure:
a = 8.739 Å, b = 2.894 Å, c = 9.357 Å
α = 90.00°, β = 90.00°, γ = 90.00°
Atoms (fractional coordinates):
Cr 0.057 0.250 0.130
Cr 0.131 0.750 0.547
Cr 0.225 0.250 0.764
Cr 0.275 0.750 0.264
Cr 0.369 0.250 0.047
Cr 0.443 0.750 0.630
Cr 0.557 0.250 0.370
Cr 0.631 0.750 0.953
Cr 0.725 0.250 0.736
Cr 0.775 0.750 0.236
Cr 0.869 0.250 0.453
Cr 0.943 0.750 0.870
P 0.026 0.750 0.324
P 0.184 0.750 0.968
P 0.316 0.250 0.468
P 0.474 0.250 0.824
P 0.526 0.750 0.176
P 0.684 0.750 0.532
P 0.816 0.250 0.032
P 0.974 0.250 0.676